1.
The following is a simulated XRD peak list of Mg14TiNbO16. It was derived from a DFT-relaxed cell (GGA-PBE, the Materials Project), using Cu Kα.

The 10 most intense peaks (2θ from 15° to 90°), sorted by position:
| two_theta | d [Å] | I_rel | index |
| --- | --- | --- | --- |
| 20.55 | 4.322 | 99 | 2 0 0 |
| 25.42 | 3.504 | 109 | 1 1 1 |
| 29.38 | 3.040 | 80 | 2 0 1 |
| 36.12 | 2.486 | 306 | 2 2 1 |
| 41.80 | 2.161 | 1000 | 4 0 0 |
| 42.27 | 2.138 | 485 | 0 0 2 |
| 60.60 | 1.528 | 285 | 4 4 0 |
| 60.96 | 1.520 | 562 | 4 0 2 |
| 72.62 | 1.302 | 115 | 6 2 1 |
| 76.65 | 1.243 | 257 | 4 4 2 |

Cell and atoms:
Cell lengths 8.644, 8.644, 4.276 Å; angles 90.00, 90.00, 90.00 degrees
Space group P4/mmm (No. 123)
Inequivalent atoms, fractional coordinates:
Mg 0.000 0.253 0.000 x4
Mg 0.000 0.500 0.500 x2
Mg 0.246 0.500 0.000 x4
Mg 0.249 0.249 0.500 x4
Ti 0.000 0.000 0.500 x1
Nb 0.500 0.500 0.500 x1
O 0.000 0.000 0.000 x1
O 0.000 0.255 0.500 x4
O 0.000 0.500 0.000 x2
O 0.238 0.500 0.500 x4
O 0.250 0.250 0.000 x4
O 0.500 0.500 0.000 x1



2.
The following is a simulated XRD peak list of Mg6TiNbO8. It was derived from a DFT-relaxed cell (GGA-PBE, the Materials Project), using Cu Kα.

The 10 most intense peaks (2θ from 15° to 90°), sorted by position:
| two_theta | d [Å] | I_rel | index |
| --- | --- | --- | --- |
| 20.25 | 4.384 | 168 | 0 0 2 |
| 29.45 | 3.033 | 128 | 1 1 0 |
| 31.20 | 2.867 | 218 | 1 1 1 |
| 36.00 | 2.494 | 478 | 1 1 2 |
| 41.18 | 2.192 | 529 | 0 0 4 |
| 42.13 | 2.145 | 1000 | 2 0 0 |
| 60.38 | 1.533 | 593 | 2 0 4 |
| 61.10 | 1.517 | 320 | 2 2 0 |
| 73.02 | 1.296 | 164 | 3 1 2 |
| 76.36 | 1.247 | 269 | 2 2 4 |

Cell and atoms:
Cell lengths 4.290, 4.290, 8.769 Å; angles 90.00, 90.00, 90.00 degrees
Space group P4/mmm (No. 123)
Inequivalent atoms, fractional coordinates:
Mg 0.000 0.000 0.000 x1
Mg 0.000 0.500 0.244 x4
Mg 0.500 0.500 0.000 x1
Ti 0.000 0.000 0.500 x1
Nb 0.500 0.500 0.500 x1
O 0.000 0.000 0.244 x2
O 0.000 0.500 0.000 x2
O 0.000 0.500 0.500 x2
O 0.500 0.500 0.237 x2



3.
The following is a simulated XRD peak list of Mg14TiNbO16. It was derived from a DFT-relaxed cell (GGA-PBE, the Materials Project), using Cu Kα.

The 10 most intense peaks (2θ from 15° to 90°), sorted by position:
| two_theta | d [Å] | I_rel | index |
| --- | --- | --- | --- |
| 20.68 | 4.295 | 192 | 0 2 0 |
| 23.12 | 3.847 | 295 | 1 0 1 |
| 36.11 | 2.487 | 608 | 1 2 2 |
| 41.66 | 2.168 | 1000 | 0 0 4 |
| 42.01 | 2.151 | 979 | 0 4 0 |
| 42.15 | 2.144 | 970 | 2 0 0 |
| 60.65 | 1.527 | 565 | 0 4 4 |
| 60.76 | 1.524 | 562 | 2 0 4 |
| 61.03 | 1.518 | 557 | 2 4 0 |
| 76.61 | 1.244 | 511 | 2 4 4 |

Cell and atoms:
Cell lengths 4.288, 8.603, 8.673 Å; angles 90.00, 90.00, 90.00 degrees
Space group Pmmm (No. 47)
Inequivalent atoms, fractional coordinates:
Mg 0.000 0.000 0.000 x1
Mg 0.000 0.250 0.248 x4
Mg 0.000 0.500 0.000 x1
Mg 0.500 0.000 0.246 x2
Mg 0.500 0.250 0.000 x2
Mg 0.500 0.252 0.500 x2
Mg 0.500 0.500 0.248 x2
Ti 0.000 0.500 0.500 x1
Nb 0.000 0.000 0.500 x1
O 0.000 0.000 0.237 x2
O 0.000 0.251 0.000 x2
O 0.000 0.257 0.500 x2
O 0.000 0.500 0.243 x2
O 0.500 0.000 0.000 x1
O 0.500 0.000 0.500 x1
O 0.500 0.250 0.252 x4
O 0.500 0.500 0.000 x1
O 0.500 0.500 0.500 x1



4.
The following is a simulated XRD peak list of MgTi3Nb3O12. It was derived from a DFT-relaxed cell (GGA-PBE, the Materials Project), using Cu Kα.

The 10 most intense peaks (2θ from 15° to 90°), sorted by position:
| two_theta | d [Å] | I_rel | index |
| --- | --- | --- | --- |
| 16.60 | 5.339 | 223 | 0 1 0 |
| 25.36 | 3.512 | 1000 | 1 -1 0 |
| 25.87 | 3.444 | 947 | 1 1 2 |
| 35.19 | 2.551 | 658 | 1 2 0 |
| 35.27 | 2.545 | 354 | 1 0 -2 |
| 35.79 | 2.509 | 299 | 0 1 -2 |
| 35.94 | 2.499 | 229 | 0 2 2 |
| 51.43 | 1.777 | 331 | 3 0 0 |
| 51.96 | 1.760 | 304 | 3 2 2 |
| 52.08 | 1.756 | 236 | 2 -2 0 |

Cell and atoms:
Cell lengths 5.722, 5.820, 7.462 Å; angles 68.43, 70.50, 75.02 degrees
Space group P1 (No. 1)
Inequivalent atoms, fractional coordinates:
Mg 0.000 0.000 0.000 x1
Ti 0.000 0.515 0.506 x1
Ti 0.346 0.862 0.641 x1
Ti 0.355 0.830 0.195 x1
Nb 0.614 0.194 0.812 x1
Nb 0.655 0.170 0.348 x1
Nb 0.974 0.498 0.019 x1
O 0.063 0.132 0.184 x1
O 0.077 0.641 0.201 x1
O 0.236 0.726 0.481 x1
O 0.272 0.218 0.502 x1
O 0.353 0.473 0.838 x1
O 0.379 0.947 0.881 x1
O 0.607 0.061 0.121 x1
O 0.609 0.555 0.165 x1
O 0.704 0.790 0.520 x1
O 0.772 0.298 0.515 x1
O 0.900 0.366 0.818 x1
O 0.943 0.861 0.822 x1



5.
The following is a simulated XRD peak list of Mg6TiNbO8. It was derived from a DFT-relaxed cell (GGA-PBE, the Materials Project), using Cu Kα.

The 10 most intense peaks (2θ from 15° to 90°), sorted by position:
| two_theta | d [Å] | I_rel | index |
| --- | --- | --- | --- |
| 20.48 | 4.337 | 311 | 0 0 2 |
| 22.93 | 3.878 | 76 | 1 0 1 |
| 29.12 | 3.067 | 256 | 1 0 2 |
| 35.86 | 2.504 | 311 | 1 1 2 |
| 41.65 | 2.168 | 1000 | 2 0 0 |
| 46.84 | 1.940 | 129 | 2 0 2 |
| 51.62 | 1.771 | 95 | 2 1 2 |
| 60.37 | 1.533 | 580 | 2 2 0 |
| 72.25 | 1.308 | 155 | 1 1 6 |
| 76.01 | 1.252 | 178 | 2 2 4 |

Cell and atoms:
Cell lengths 4.335, 4.335, 8.682 Å; angles 90.00, 90.00, 90.00 degrees
Space group P4/mmm (No. 123)
Inequivalent atoms, fractional coordinates:
Mg 0.000 0.000 0.000 x1
Mg 0.000 0.000 0.500 x1
Mg 0.000 0.500 0.249 x4
Ti 0.500 0.500 0.000 x1
Nb 0.500 0.500 0.500 x1
O 0.000 0.000 0.250 x2
O 0.000 0.500 0.000 x2
O 0.000 0.500 0.500 x2
O 0.500 0.500 0.240 x2



6.
The following is a simulated XRD peak list of MgTi3Nb3O12. It was derived from a DFT-relaxed cell (GGA-PBE, the Materials Project), using Cu Kα.

The 10 most intense peaks (2θ from 15° to 90°), sorted by position:
| two_theta | d [Å] | I_rel | index |
| --- | --- | --- | --- |
| 24.74 | 3.599 | 1000 | 1 -1 0 |
| 26.10 | 3.414 | 934 | 1 1 2 |
| 35.09 | 2.557 | 624 | 1 2 0 |
| 35.42 | 2.534 | 529 | 0 1 -2 |
| 35.64 | 2.519 | 275 | 2 1 0 |
| 50.74 | 1.799 | 199 | 2 -2 0 |
| 51.14 | 1.786 | 174 | 1 -2 2 |
| 51.77 | 1.766 | 256 | 2 3 2 |
| 53.70 | 1.707 | 180 | 2 2 4 |
| 63.31 | 1.469 | 245 | 1 4 2 |

Cell and atoms:
Cell lengths 5.665, 5.887, 7.456 Å; angles 69.04, 71.44, 77.16 degrees
Space group P1 (No. 1)
Inequivalent atoms, fractional coordinates:
Mg 0.000 0.000 0.000 x1
Ti 0.424 0.781 0.146 x1
Ti 0.643 0.186 0.792 x1
Ti 0.672 0.152 0.340 x1
Nb 0.017 0.507 0.492 x1
Nb 0.027 0.521 0.956 x1
Nb 0.323 0.825 0.648 x1
O 0.016 0.173 0.169 x1
O 0.102 0.645 0.166 x1
O 0.273 0.754 0.419 x1
O 0.306 0.222 0.476 x1
O 0.394 0.952 0.866 x1
O 0.399 0.455 0.812 x1
O 0.613 0.033 0.107 x1
O 0.648 0.515 0.138 x1
O 0.728 0.807 0.493 x1
O 0.765 0.294 0.505 x1
O 0.910 0.353 0.802 x1
O 0.938 0.890 0.797 x1



7.
The following is a simulated XRD peak list of Tm2MgNb2O8. It was derived from a DFT-relaxed cell (GGA-PBE, the Materials Project), using Cu Kα.

The 10 most intense peaks (2θ from 15° to 90°), sorted by position:
| two_theta | d [Å] | I_rel | index |
| --- | --- | --- | --- |
| 25.11 | 3.547 | 1000 | 0 2 1 |
| 29.85 | 2.993 | 495 | 2 2 -1 |
| 33.04 | 2.711 | 308 | 0 4 1 |
| 35.03 | 2.562 | 178 | 2 0 0 |
| 35.26 | 2.545 | 169 | 2 0 -2 |
| 36.87 | 2.438 | 548 | 2 4 -1 |
| 44.62 | 2.031 | 206 | 0 0 2 |
| 51.90 | 1.762 | 216 | 2 6 0 |
| 52.07 | 1.756 | 219 | 2 6 -2 |
| 59.36 | 1.557 | 216 | 2 4 -3 |

Cell and atoms:
Cell lengths 6.567, 14.562, 5.206 Å; angles 90.00, 128.72, 90.00 degrees
Space group C2 (No. 5)
Inequivalent atoms, fractional coordinates:
Tm 0.000 0.000 0.000 x2
Tm 0.000 0.331 0.500 x2
Mg 0.000 0.657 0.500 x2
Nb 0.000 0.497 0.000 x2
Nb 0.000 0.852 0.500 x2
O 0.182 0.583 0.905 x4
O 0.223 0.753 0.511 x4
O 0.237 0.454 0.482 x4
O 0.241 0.887 0.984 x4



8.
The following is a simulated XRD peak list of Mg6NbZnO8. It was derived from a DFT-relaxed cell (GGA-PBE, the Materials Project), using Cu Kα.

The 10 most intense peaks (2θ from 15° to 90°), sorted by position:
| two_theta | d [Å] | I_rel | index |
| --- | --- | --- | --- |
| 20.28 | 4.380 | 223 | 0 0 2 |
| 29.20 | 3.058 | 179 | 1 1 0 |
| 30.97 | 2.887 | 305 | 1 1 1 |
| 35.81 | 2.507 | 554 | 1 1 2 |
| 41.22 | 2.190 | 514 | 0 0 4 |
| 41.77 | 2.162 | 1000 | 2 0 0 |
| 60.14 | 1.539 | 592 | 2 0 4 |
| 60.56 | 1.529 | 293 | 2 2 0 |
| 72.39 | 1.305 | 177 | 3 1 2 |
| 75.89 | 1.254 | 272 | 2 2 4 |

Cell and atoms:
Cell lengths 4.325, 4.325, 8.760 Å; angles 90.00, 90.00, 90.00 degrees
Space group P4/mmm (No. 123)
Inequivalent atoms, fractional coordinates:
Mg 0.000 0.000 0.000 x1
Mg 0.000 0.500 0.244 x4
Mg 0.500 0.500 0.000 x1
Nb 0.000 0.000 0.500 x1
Zn 0.500 0.500 0.500 x1
O 0.000 0.000 0.238 x2
O 0.000 0.500 0.000 x2
O 0.000 0.500 0.500 x2
O 0.500 0.500 0.243 x2



9.
The following is a simulated XRD peak list of Mg6NbZnO8. It was derived from a DFT-relaxed cell (GGA-PBE, the Materials Project), using Cu Kα.

The 10 most intense peaks (2θ from 15° to 90°), sorted by position:
| two_theta | d [Å] | I_rel | index |
| --- | --- | --- | --- |
| 20.18 | 4.400 | 227 | 0 0 2 |
| 20.62 | 4.308 | 428 | 1 0 0 |
| 29.01 | 3.078 | 370 | 1 0 2 |
| 29.32 | 3.046 | 179 | 1 1 0 |
| 35.85 | 2.505 | 557 | 1 1 2 |
| 41.03 | 2.200 | 531 | 0 0 4 |
| 41.94 | 2.154 | 1000 | 2 0 0 |
| 60.12 | 1.539 | 603 | 2 0 4 |
| 60.81 | 1.523 | 297 | 2 2 0 |
| 75.99 | 1.252 | 275 | 2 2 4 |

Cell and atoms:
Cell lengths 4.308, 4.308, 8.800 Å; angles 90.00, 90.00, 90.00 degrees
Space group P4/mmm (No. 123)
Inequivalent atoms, fractional coordinates:
Mg 0.000 0.000 0.000 x1
Mg 0.000 0.000 0.500 x1
Mg 0.000 0.500 0.244 x4
Nb 0.500 0.500 0.500 x1
Zn 0.500 0.500 0.000 x1
O 0.000 0.000 0.252 x2
O 0.000 0.500 0.000 x2
O 0.000 0.500 0.500 x2
O 0.500 0.500 0.242 x2



10.
The following is a simulated XRD peak list of MgNb2P2S2. It was derived from a DFT-relaxed cell (GGA-PBE, the Materials Project), using Cu Kα.

The 10 most intense peaks (2θ from 15° to 90°), sorted by position:
| two_theta | d [Å] | I_rel | index |
| --- | --- | --- | --- |
| 18.58 | 4.776 | 320 | 2 0 -1 |
| 30.10 | 2.969 | 325 | 1 1 -1 |
| 30.97 | 2.888 | 686 | 1 1 1 |
| 34.56 | 2.595 | 494 | 3 1 0 |
| 37.67 | 2.388 | 485 | 4 0 -2 |
| 38.11 | 2.361 | 556 | 1 1 -2 |
| 38.34 | 2.347 | 1000 | 3 1 1 |
| 43.23 | 2.093 | 406 | 4 0 2 |
| 46.72 | 1.944 | 519 | 5 1 -1 |
| 49.18 | 1.852 | 610 | 1 1 -3 |

Cell and atoms:
Cell lengths 12.191, 3.393, 6.642 Å; angles 90.00, 97.57, 90.00 degrees
Space group Cm (No. 8)
Inequivalent atoms, fractional coordinates:
Mg 0.000 0.000 0.000 x2
Nb 0.240 0.000 0.428 x2
Nb 0.477 0.000 0.537 x2
P 0.353 0.500 0.685 x2
P 0.363 0.500 0.283 x2
S 0.099 0.500 0.247 x2
S 0.116 0.000 0.707 x2



11.
The following is a simulated XRD peak list of MgNb2P2S2. It was derived from a DFT-relaxed cell (GGA-PBE, the Materials Project), using Cu Kα.

The 10 most intense peaks (2θ from 15° to 90°), sorted by position:
| two_theta | d [Å] | I_rel | index |
| --- | --- | --- | --- |
| 23.12 | 3.847 | 924 | 0 4 0 |
| 28.62 | 3.120 | 1000 | 0 3 1 |
| 29.23 | 3.056 | 584 | 1 0 1 |
| 36.99 | 2.430 | 303 | 2 0 0 |
| 37.10 | 2.423 | 412 | 0 5 1 |
| 37.59 | 2.393 | 639 | 1 4 1 |
| 38.86 | 2.317 | 586 | 2 2 0 |
| 46.20 | 1.965 | 362 | 0 0 2 |
| 47.39 | 1.918 | 441 | 0 7 1 |
| 53.40 | 1.716 | 665 | 2 5 1 |

Cell and atoms:
Cell lengths 4.860, 15.389, 3.930 Å; angles 90.00, 90.00, 90.00 degrees
Space group Imm2 (No. 44)
Inequivalent atoms, fractional coordinates:
Mg 0.000 0.000 0.000 x2
Nb 0.000 0.217 0.936 x4
P 0.203 0.500 0.000 x4
S 0.000 0.314 0.438 x4



12.
The following is a simulated XRD peak list of MgNb2P2S2. It was derived from a DFT-relaxed cell (GGA-PBE, the Materials Project), using Cu Kα.

The 10 most intense peaks (2θ from 15° to 90°), sorted by position:
| two_theta | d [Å] | I_rel | index |
| --- | --- | --- | --- |
| 15.02 | 5.900 | 1000 | 0 1 1 |
| 25.99 | 3.428 | 567 | 0 2 0 |
| 26.50 | 3.363 | 206 | 0 1 3 |
| 27.80 | 3.209 | 218 | 1 0 1 |
| 35.54 | 2.526 | 392 | 1 0 3 |
| 38.42 | 2.343 | 716 | 1 2 1 |
| 40.80 | 2.212 | 177 | 0 2 4 |
| 41.14 | 2.194 | 229 | 0 1 5 |
| 43.42 | 2.084 | 778 | 1 1 4 |
| 58.40 | 1.580 | 182 | 1 3 4 |

Cell and atoms:
Cell lengths 3.340, 6.856, 11.580 Å; angles 90.00, 90.00, 90.00 degrees
Space group Immm (No. 71)
Inequivalent atoms, fractional coordinates:
Mg 0.000 0.000 0.000 x2
Nb 0.000 0.500 0.125 x4
P 0.000 0.201 0.500 x4
S 0.000 0.000 0.217 x4